1.
For NaHfTcO6, a PBE-relaxed structure gives the computed powder X-ray diffraction pattern in this record (Cu Ka).

Peak list (8 most intense, 5 to 70 degrees two-theta, in order of rising 2θ)
| 2θ (°) | I_rel | h k l |
| --- | --- | --- |
| 17.3 | 100 | 0 0 1 |
| 19.2 | 61 | 1 0 0 |
| 25.9 | 99 | 1 0 1 |
| 33.6 | 50 | 1 1 0 |
| 38.0 | 67 | 2 -1 1 |
| 43.0 | 24 | 0 2 1 |
| 49.3 | 51 | 2 -1 2 |
| 55.6 | 24 | 3 -1 1 |

Cell and atoms:
Lattice parameters (Å, degrees): 5.3294 5.3294 5.1403 90.00 90.00 120.00
Space group P3 (No. 143)
Symmetry-distinct sites (fractional):
Na: 0.0000 0.0000 0.0000 (multiplicity 1)
Hf: 0.3333 0.6667 0.5536 (multiplicity 1)
Tc: 0.6667 0.3333 0.4854 (multiplicity 1)
O: 0.3893 0.0303 0.7226 (multiplicity 3)
O: 0.3905 0.3724 0.3019 (multiplicity 3)

2.
For Na8B9C7, a PBE-relaxed structure gives the computed powder X-ray diffraction pattern in this record (Cu Ka).

Peak list (8 most intense, 5 to 70 degrees two-theta, in order of rising 2θ)
| 2θ (°) | I_rel | h k l |
| --- | --- | --- |
| 36.4 | 9 | 0 0 2 |
| 36.5 | 17 | 2 0 1 |
| 42.4 | 50 | 0 2 2 |
| 42.5 | 100 | 2 2 1 |
| 42.8 | 39 | 0 4 0 |
| 57.4 | 15 | 0 4 2 |
| 65.6 | 17 | 2 0 3 |
| 65.8 | 9 | 4 0 0 |

Cell and atoms:
Lattice parameters (Å, degrees): 5.6773 8.4544 4.9375 90.00 90.00 90.00
Space group Pmm2 (No. 25)
Symmetry-distinct sites (fractional):
Na: 0.0000 0.2474 0.0000 (multiplicity 2)
Na: 0.2500 0.2499 0.5009 (multiplicity 4)
Na: 0.5000 0.2499 0.0024 (multiplicity 2)
B: 0.0000 0.0000 0.6678 (multiplicity 1)
B: 0.0000 0.5000 0.3371 (multiplicity 1)
B: 0.2389 0.5000 0.8427 (multiplicity 2)
B: 0.2504 0.0000 0.1680 (multiplicity 2)
B: 0.5000 0.0000 0.6679 (multiplicity 1)
B: 0.5000 0.5000 0.3204 (multiplicity 1)
B: 0.5000 0.5000 0.6635 (multiplicity 1)
C: 0.0000 0.0000 0.3346 (multiplicity 1)
C: 0.0000 0.5000 0.6679 (multiplicity 1)
C: 0.2455 0.5000 0.1669 (multiplicity 2)
C: 0.2502 0.0000 0.8345 (multiplicity 2)
C: 0.5000 0.0000 0.3346 (multiplicity 1)

3.
For Nb11Ir4Rh9, a PBE-relaxed structure gives the computed powder X-ray diffraction pattern in this record (Cu Ka).

Peak list (8 most intense, 5 to 70 degrees two-theta, in order of rising 2θ)
| 2θ (°) | I_rel | h k l |
| --- | --- | --- |
| 37.8 | 33 | 2 4 1 |
| 38.4 | 89 | 4 6 0 |
| 39.5 | 52 | 1 9 0 |
| 40.1 | 100 | 0 6 1 |
| 41.6 | 26 | 5 5 0 |
| 41.8 | 81 | 4 0 1 |
| 43.2 | 31 | 0 10 0 |
| 69.6 | 22 | 5 11 1 |

Cell and atoms:
Lattice parameters (Å, degrees): 12.6951 20.8901 2.9478 90.00 90.00 90.00
Space group Cmmm (No. 65)
Symmetry-distinct sites (fractional):
Nb: 0.0000 0.0000 0.0000 (multiplicity 2)
Nb: 0.0000 0.1747 0.0000 (multiplicity 4)
Nb: 0.0000 0.3682 0.0000 (multiplicity 4)
Nb: 0.2159 0.1776 0.0000 (multiplicity 8)
Nb: 0.2267 0.5000 0.0000 (multiplicity 4)
Ir: 0.1628 0.4033 0.5000 (multiplicity 8)
Rh: 0.0000 0.5000 0.5000 (multiplicity 2)
Rh: 0.1120 0.2711 0.5000 (multiplicity 8)
Rh: 0.1187 0.0769 0.5000 (multiplicity 8)

4.
For RbScH, a PBE-relaxed structure gives the computed powder X-ray diffraction pattern in this record (Cu Ka).

Peak list (8 most intense, 5 to 70 degrees two-theta, in order of rising 2θ)
| 2θ (°) | I_rel | h k l |
| --- | --- | --- |
| 6.5 | 28 | 1 0 0 |
| 19.6 | 30 | 3 0 0 |
| 26.3 | 61 | 4 0 0 |
| 29.4 | 50 | 0 0 2 |
| 29.9 | 100 | 1 1 1 |
| 35.4 | 65 | 3 1 1 |
| 39.9 | 36 | 4 0 2 |
| 56.2 | 26 | 3 1 3 |

Cell and atoms:
Lattice parameters (Å, degrees): 13.5719 3.5436 6.0668 90.00 90.00 90.00
Space group Amm2 (No. 38)
Symmetry-distinct sites (fractional):
Rb: 0.1387 0.0000 0.0000 (multiplicity 4)
Sc: 0.3975 0.0000 0.5555 (multiplicity 4)
H: 0.0000 0.0000 0.6624 (multiplicity 2)
H: 0.5000 0.0000 0.8867 (multiplicity 2)

5.
For Hf2H3, a PBE-relaxed structure gives the computed powder X-ray diffraction pattern in this record (Cu Ka).

Peak list (8 most intense, 5 to 70 degrees two-theta, in order of rising 2θ)
| 2θ (°) | I_rel | h k l |
| --- | --- | --- |
| 33.2 | 100 | 1 0 1 |
| 38.1 | 17 | 0 0 2 |
| 38.7 | 33 | 1 1 0 |
| 55.4 | 24 | 1 1 2 |
| 55.8 | 12 | 2 0 0 |
| 65.7 | 14 | 1 0 3 |
| 66.5 | 27 | 2 1 1 |
| 69.6 | 12 | 2 0 2 |

Cell and atoms:
Lattice parameters (Å, degrees): 3.2931 3.2931 4.7234 90.00 90.00 90.00
Space group P-4m2 (No. 115)
Symmetry-distinct sites (fractional):
Hf: 0.0000 0.5000 0.2385 (multiplicity 2)
H: 0.0000 0.0000 0.5000 (multiplicity 1)
H: 0.5000 0.5000 0.0000 (multiplicity 1)
H: 0.5000 0.5000 0.5000 (multiplicity 1)

6.
For Ba3GeO5, a PBE-relaxed structure gives the computed powder X-ray diffraction pattern in this record (Cu Ka).

Peak list (8 most intense, 5 to 70 degrees two-theta, in order of rising 2θ)
| 2θ (°) | I_rel | h k l |
| --- | --- | --- |
| 25.7 | 47 | 0 2 1 |
| 27.6 | 57 | 0 0 9 |
| 28.3 | 100 | 0 2 4 |
| 29.8 | 81 | 2 0 5 |
| 35.6 | 27 | 2 0 8 |
| 45.0 | 52 | 2 2 0 |
| 48.3 | 31 | 0 2 13 |
| 53.6 | 47 | 2 2 9 |

Cell and atoms:
Lattice parameters (Å, degrees): 8.0653 8.0653 29.1006 90.00 90.00 120.00
Space group R3m (No. 160, hexagonal axes)
Symmetry-distinct sites (fractional):
Ba: 0.0196 0.5098 0.0000 (multiplicity 9)
Ba: 0.1707 0.3414 0.1067 (multiplicity 9)
Ba: 0.1719 0.3438 0.8845 (multiplicity 9)
Ge: 0.0000 0.0000 0.5589 (multiplicity 3)
Ge: 0.0000 0.0000 0.7761 (multiplicity 3)
Ge: 0.0000 0.0000 0.9947 (multiplicity 3)
O: 0.0000 0.0000 0.1510 (multiplicity 3)
O: 0.0000 0.0000 0.2754 (multiplicity 3)
O: 0.0000 0.0000 0.3918 (multiplicity 3)
O: 0.0000 0.0000 0.6208 (multiplicity 3)
O: 0.0000 0.0000 0.8372 (multiplicity 3)
O: 0.0000 0.0000 0.9335 (multiplicity 3)
O: 0.0917 0.5458 0.6816 (multiplicity 9)
O: 0.2121 0.4243 0.4229 (multiplicity 9)
O: 0.2124 0.4248 0.2047 (multiplicity 9)

7.
For Rb3AcCl7, a PBE-relaxed structure gives the computed powder X-ray diffraction pattern in this record (Cu Ka).

Peak list (8 most intense, 5 to 70 degrees two-theta, in order of rising 2θ)
| 2θ (°) | I_rel | h k l |
| --- | --- | --- |
| 12.9 | 59 | 1 1 0 |
| 20.2 | 44 | 2 0 0 |
| 20.9 | 50 | 2 0 -2 |
| 21.3 | 100 | 0 2 1 |
| 22.0 | 32 | 2 2 -1 |
| 30.3 | 39 | 4 0 -2 |
| 32.4 | 36 | 0 4 0 |
| 35.6 | 38 | 2 2 1 |

Cell and atoms:
Lattice parameters (Å, degrees): 11.7991 11.0562 8.5389 90.00 131.93 90.00
Space group Cm (No. 8)
Symmetry-distinct sites (fractional):
Rb: 0.0000 0.0000 0.0000 (multiplicity 2)
Rb: 0.4932 0.2254 0.4354 (multiplicity 4)
Ac: 0.4357 0.0000 0.8738 (multiplicity 2)
Cl: 0.1200 0.0000 0.4803 (multiplicity 2)
Cl: 0.1305 0.3045 0.1906 (multiplicity 4)
Cl: 0.1311 0.5000 0.7802 (multiplicity 2)
Cl: 0.3151 0.0000 0.0787 (multiplicity 2)
Cl: 0.3765 0.2530 0.7059 (multiplicity 4)

8.
For SrSb2, a PBE-relaxed structure gives the computed powder X-ray diffraction pattern in this record (Cu Ka).

Peak list (8 most intense, 5 to 70 degrees two-theta, in order of rising 2θ)
| 2θ (°) | I_rel | h k l |
| --- | --- | --- |
| 14.5 | 18 | 0 2 0 |
| 27.8 | 23 | 0 2 2 |
| 30.3 | 71 | 1 3 0 |
| 32.4 | 100 | 1 1 2 |
| 32.6 | 15 | 1 3 1 |
| 38.0 | 35 | 0 4 2 |
| 42.0 | 22 | 2 0 0 |
| 57.9 | 36 | 2 4 2 |

Cell and atoms:
Lattice parameters (Å, degrees): 4.3024 12.1758 7.5501 90.00 90.00 90.00
Space group Cmc2_1 (No. 36)
Symmetry-distinct sites (fractional):
Sr: 0.0000 0.1575 0.0000 (multiplicity 4)
Sb: 0.0000 0.1228 0.5323 (multiplicity 4)
Sb: 0.0000 0.4678 0.8030 (multiplicity 4)

Repeat the second record exactly.
For Na8B9C7, a PBE-relaxed structure gives the computed powder X-ray diffraction pattern in this record (Cu Ka).

Peak list (8 most intense, 5 to 70 degrees two-theta, in order of rising 2θ)
| 2θ (°) | I_rel | h k l |
| --- | --- | --- |
| 36.4 | 9 | 0 0 2 |
| 36.5 | 17 | 2 0 1 |
| 42.4 | 50 | 0 2 2 |
| 42.5 | 100 | 2 2 1 |
| 42.8 | 39 | 0 4 0 |
| 57.4 | 15 | 0 4 2 |
| 65.6 | 17 | 2 0 3 |
| 65.8 | 9 | 4 0 0 |

Cell and atoms:
Lattice parameters (Å, degrees): 5.6773 8.4544 4.9375 90.00 90.00 90.00
Space group Pmm2 (No. 25)
Symmetry-distinct sites (fractional):
Na: 0.0000 0.2474 0.0000 (multiplicity 2)
Na: 0.2500 0.2499 0.5009 (multiplicity 4)
Na: 0.5000 0.2499 0.0024 (multiplicity 2)
B: 0.0000 0.0000 0.6678 (multiplicity 1)
B: 0.0000 0.5000 0.3371 (multiplicity 1)
B: 0.2389 0.5000 0.8427 (multiplicity 2)
B: 0.2504 0.0000 0.1680 (multiplicity 2)
B: 0.5000 0.0000 0.6679 (multiplicity 1)
B: 0.5000 0.5000 0.3204 (multiplicity 1)
B: 0.5000 0.5000 0.6635 (multiplicity 1)
C: 0.0000 0.0000 0.3346 (multiplicity 1)
C: 0.0000 0.5000 0.6679 (multiplicity 1)
C: 0.2455 0.5000 0.1669 (multiplicity 2)
C: 0.2502 0.0000 0.8345 (multiplicity 2)
C: 0.5000 0.0000 0.3346 (multiplicity 1)